Starting from the GGA-PBE geometry in Alexandria, the XRD peak list of Pa2Ni3Au was computed for λ = 1.5418 Å (Cu Kα).

The 10 most intense peaks (2θ from 10° to 80°), by intensity:
index  two_theta  Rel. int.
1 1 4  35.40  100
2 1 3  39.23  50
2 1 0  35.52  31
2 0 5  37.23  25
0 2 0  50.61  24
3 0 1  38.51  24
2 0 1  25.72  20
1 1 5  39.12  18
0 0 8  43.90  17
1 1 2  29.84  14

Cell lengths 7.085, 3.607, 16.500 Å; angles 90.00, 90.00, 90.00 degrees
Space group Pnma (No. 62)
Symmetry-distinct sites (fractional):
Pa 0.086 0.250 0.215 (multiplicity 4)
Pa 0.152 0.250 0.433 (multiplicity 4)
Ni 0.092 0.250 0.661 (multiplicity 4)
Ni 0.210 0.750 0.555 (multiplicity 4)
Ni 0.226 0.250 0.808 (multiplicity 4)
Au 0.019 0.750 0.070 (multiplicity 4)



Starting from the GGA-PBE geometry in Alexandria, the XRD peak list of PaNi6Au2 was computed for λ = 1.5418 Å (Cu Kα).

The 10 most intense peaks (2θ from 10° to 80°), by intensity:
index  two_theta  Rel. int.
2 2 0  31.17  100
4 0 0  44.67  63
2 2 2  38.43  38
4 4 0  65.01  36
4 2 2  55.47  33
3 1 1  36.73  30
3 3 1  48.92  29
6 2 0  73.86  25
1 1 1  18.94  13
3 3 3  59.16  10

Cell lengths 8.115, 8.115, 8.115 Å; angles 90.00, 90.00, 90.00 degrees
Space group Fm-3m (No. 225)
Symmetry-distinct sites (fractional):
Pa 0.000 0.000 0.000 (multiplicity 4)
Ni 0.000 0.000 0.289 (multiplicity 24)
Au 0.250 0.250 0.250 (multiplicity 8)



Starting from the GGA-PBE geometry in Alexandria, the XRD peak list of TbPaNiAu was computed for λ = 1.5418 Å (Cu Kα).

The 10 most intense peaks (2θ from 10° to 80°), by intensity:
index  two_theta  Rel. int.
2 2 0  36.15  100
4 2 2  65.00  37
4 0 0  52.05  18
1 1 1  21.90  12
4 4 0  76.70  11
3 1 1  42.66  7
2 0 0  25.34  4
3 3 1  57.12  3
5 1 1  69.49  2
4 2 0  58.75  2

Cell lengths 7.029, 7.029, 7.029 Å; angles 90.00, 90.00, 90.00 degrees
Space group F-43m (No. 216)
Symmetry-distinct sites (fractional):
Tb 0.000 0.000 0.000 (multiplicity 4)
Pa 0.000 0.000 0.500 (multiplicity 4)
Ni 0.250 0.250 0.750 (multiplicity 4)
Au 0.250 0.250 0.250 (multiplicity 4)



Starting from the GGA-PBE geometry in Alexandria, the XRD peak list of NiPb2Au was computed for λ = 1.5418 Å (Cu Kα).

The 10 most intense peaks (2θ from 10° to 80°), by intensity:
index  two_theta  Rel. int.
1 1 -1  33.12  100
0 1 2  39.56  32
1 0 1  32.19  28
1 0 -2  32.34  27
2 0 -1  44.46  24
0 0 2  31.49  22
1 1 1  40.13  21
1 2 -2  58.76  21
1 1 -2  40.26  20
0 1 1  28.19  20

Cell lengths 4.076, 3.813, 6.027 Å; angles 90.00, 109.49, 90.00 degrees
Space group Pm (No. 6)
Symmetry-distinct sites (fractional):
Ni 0.000 0.000 0.000 (multiplicity 1)
Pb 0.459 0.500 0.915 (multiplicity 1)
Pb 0.756 0.000 0.514 (multiplicity 1)
Au 0.164 0.500 0.330 (multiplicity 1)



Starting from the GGA-PBE geometry in Alexandria, the XRD peak list of NiPd4Au was computed for λ = 1.5418 Å (Cu Kα).

The 10 most intense peaks (2θ from 10° to 80°), by intensity:
index  two_theta  Rel. int.
1 1 0  39.73  100
0 1 3  39.57  98
1 0 3  45.59  65
1 2 3  67.65  40
0 2 0  47.12  30
0 0 1  10.45  23
0 1 2  31.37  14
2 0 0  66.67  11
0 0 6  66.23  9
1 0 2  38.49  8

Cell lengths 2.806, 3.857, 8.467 Å; angles 90.00, 90.00, 90.00 degrees
Space group Pmmm (No. 47)
Symmetry-distinct sites (fractional):
Ni 0.000 0.000 0.000 (multiplicity 1)
Pd 0.000 0.000 0.321 (multiplicity 2)
Pd 0.500 0.500 0.155 (multiplicity 2)
Au 0.500 0.500 0.500 (multiplicity 1)



Starting from the GGA-PBE geometry in Alexandria, the XRD peak list of NiPd6Au2 was computed for λ = 1.5418 Å (Cu Kα).

The 10 most intense peaks (2θ from 10° to 80°), by intensity:
index  two_theta  Rel. int.
1 3 3  39.33  100
0 0 6  45.56  16
2 0 0  45.92  16
0 6 0  45.73  16
1 3 9  79.99  12
2 0 6  66.68  10
0 6 6  66.53  10
2 6 0  66.82  10
1 1 3  32.82  5
0 0 2  14.85  5

Cell lengths 3.953, 11.904, 11.947 Å; angles 90.00, 90.00, 90.00 degrees
Space group Fmmm (No. 69)
Symmetry-distinct sites (fractional):
Ni 0.000 0.000 0.000 (multiplicity 4)
Pd 0.000 0.000 0.334 (multiplicity 8)
Pd 0.000 0.164 0.167 (multiplicity 16)
Au 0.000 0.162 0.500 (multiplicity 8)



Starting from the GGA-PBE geometry in Alexandria, the XRD peak list of NiPd6Au5 was computed for λ = 1.5418 Å (Cu Kα).

The 10 most intense peaks (2θ from 10° to 80°), by intensity:
index  two_theta  Rel. int.
1 3 1  38.82  100
2 0 -2  45.09  33
2 6 -2  65.71  26
1 3 -3  78.97  19
4 0 0  45.20  16
5 3 -3  79.07  13
7 3 -1  79.19  6
2 0 0  22.15  5
6 0 -2  65.84  5
1 3 -1  31.46  5

Cell lengths 8.968, 12.066, 4.020 Å; angles 90.00, 116.52, 90.00 degrees
Space group C2/m (No. 12)
Symmetry-distinct sites (fractional):
Ni 0.000 0.000 0.000 (multiplicity 2)
Pd 0.241 0.000 0.741 (multiplicity 4)
Pd 0.245 0.164 0.245 (multiplicity 8)
Au 0.000 0.163 0.500 (multiplicity 4)
Au 0.000 0.334 0.000 (multiplicity 4)
Au 0.000 0.500 0.500 (multiplicity 2)



Starting from the GGA-PBE geometry in Alexandria, the XRD peak list of NiPd3Au4 was computed for λ = 1.5418 Å (Cu Kα).

The 10 most intense peaks (2θ from 10° to 80°), by intensity:
index  two_theta  Rel. int.
2 0 4  38.79  100
2 2 0  44.70  34
4 2 4  78.41  26
2 2 8  65.99  21
0 0 8  45.88  15
4 0 0  65.07  11
0 0 4  22.48  11
2 0 0  31.20  10
2 2 4  50.59  6
2 0 8  56.53  4

Cell lengths 5.730, 5.737, 15.823 Å; angles 90.00, 90.00, 90.00 degrees
Space group Fmmm (No. 69)
Symmetry-distinct sites (fractional):
Ni 0.000 0.000 0.000 (multiplicity 4)
Pd 0.000 0.000 0.250 (multiplicity 8)
Pd 0.000 0.000 0.500 (multiplicity 4)
Au 0.250 0.250 0.122 (multiplicity 16)